Calculated powder diffraction line list of BaMg6FeO8 for Cu Kα X-rays, from a GGA+U-relaxed structure.
Peak positions follow from Bragg's law for the DFT cell and can differ from measured ones.

Crystal structure
Lattice parameters (Å, degrees): 4.6881 4.6881 8.8196 90.00 90.00 90.00
Atoms (fractional coordinates):
Ba  0.0000  0.0000  0.0000
Mg  0.0000  0.5000  0.2671
Mg  0.0000  0.5000  0.7329
Mg  0.5000  0.0000  0.2671
Mg  0.5000  0.0000  0.7329
Mg  0.5000  0.5000  0.0000
Mg  0.5000  0.5000  0.5000
Fe  0.0000  0.0000  0.5000
O  0.0000  0.0000  0.2806
O  0.0000  0.0000  0.7194
O  0.0000  0.5000  0.0000
O  0.0000  0.5000  0.5000
O  0.5000  0.0000  0.0000
O  0.5000  0.0000  0.5000
O  0.5000  0.5000  0.2530
O  0.5000  0.5000  0.7470

Top 8 peaks for 15° ≤ 2θ ≤ 90°, by angle:
Position (°2θ), I_rel
18.93, 52
27.77, 43
33.83, 56
38.40, 100
40.93, 38
55.43, 31
57.37, 51
71.17, 26



Calculated powder diffraction line list of Ba2Mg2Tl2Fe3O10 for Cu Kα X-rays, from a GGA+U-relaxed structure.
Peak positions follow from Bragg's law for the DFT cell and can differ from measured ones.

Crystal structure
Lattice parameters (Å, degrees): 3.9307 3.9649 18.0341 96.21 96.13 90.81
Atoms (fractional coordinates):
Ba  0.0000  0.0000  0.0000
Ba  0.2835  0.2830  0.5657
Mg  0.0587  0.1390  0.1931
Mg  0.1518  0.2256  0.3728
Tl  0.4226  0.4804  0.8467
Tl  0.8587  0.9167  0.7190
Fe  0.5134  0.7752  0.2826
Fe  0.5530  0.5670  0.1211
Fe  0.7159  0.7282  0.4441
O  0.0018  0.8408  0.2826
O  0.0562  0.5543  0.1240
O  0.2163  0.7139  0.4411
O  0.3688  0.2561  0.7281
O  0.4506  0.2892  0.2827
O  0.4845  0.4697  0.9671
O  0.5655  0.0658  0.1245
O  0.7252  0.2240  0.4410
O  0.8005  0.7855  0.5986
O  0.9231  0.8100  0.8376

Top 8 peaks for 15° ≤ 2θ ≤ 90°, by angle:
Position (°2θ), I_rel
25.71, 38
28.53, 99
28.69, 100
31.83, 62
31.94, 38
32.08, 32
32.28, 84
35.25, 51



Calculated powder diffraction line list of Ba2Y2MgFe4O10 for Cu Kα X-rays, from a GGA+U-relaxed structure.
Peak positions follow from Bragg's law for the DFT cell and can differ from measured ones.

Crystal structure
Lattice parameters (Å, degrees): 7.8224 3.6803 10.7102 90.00 98.69 90.00
Atoms (fractional coordinates):
Ba  0.0000  0.0000  0.0000
Ba  0.4809  0.0000  0.9600
Y  0.5911  0.0000  0.4298
Y  0.9939  0.0000  0.6702
Mg  0.0555  0.0000  0.3504
Fe  0.3060  0.5000  0.2372
Fe  0.3488  0.5000  0.6392
Fe  0.7074  0.5000  0.7411
Fe  0.7732  0.5000  0.2046
O  0.0098  0.5000  0.7792
O  0.0193  0.5000  0.2574
O  0.2776  0.5000  0.0505
O  0.2837  0.0000  0.6786
O  0.3072  0.0000  0.3456
O  0.5598  0.5000  0.5668
O  0.5898  0.5000  0.3019
O  0.7308  0.5000  0.0255
O  0.7385  0.0000  0.7805
O  0.8894  0.0000  0.4734

Top 8 peaks for 15° ≤ 2θ ≤ 90°, by angle:
Position (°2θ), I_rel
25.24, 45
29.56, 100
30.63, 47
31.64, 44
33.62, 89
33.84, 58
49.53, 48
56.54, 38



Calculated powder diffraction line list of Ba2Y2MgFe4O10 for Cu Kα X-rays, from a GGA+U-relaxed structure.
Peak positions follow from Bragg's law for the DFT cell and can differ from measured ones.

Crystal structure
Lattice parameters (Å, degrees): 9.6240 9.6240 7.6078 101.89 101.89 23.84
Atoms (fractional coordinates):
Ba  0.0000  0.0000  0.0000
Ba  0.0158  0.0158  0.5059
Y  0.8037  0.8037  0.8999
Y  0.8090  0.8090  0.3974
Mg  0.6396  0.6396  0.3059
Fe  0.2014  0.2014  0.0862
Fe  0.2019  0.2019  0.5885
Fe  0.4019  0.4019  0.2032
Fe  0.4073  0.4073  0.6952
O  0.1656  0.1656  0.3179
O  0.2299  0.2299  0.8521
O  0.3592  0.3592  0.4188
O  0.3810  0.3810  0.9449
O  0.5129  0.5129  0.7415
O  0.5315  0.5315  0.2646
O  0.7104  0.7104  0.5601
O  0.7149  0.7149  0.1261
O  0.8696  0.8696  0.6849
O  0.8840  0.8840  0.1903

Top 8 peaks for 15° ≤ 2θ ≤ 90°, by angle:
Position (°2θ), I_rel
22.89, 29
29.10, 25
32.58, 96
33.16, 100
33.73, 53
34.03, 60
45.64, 37
47.83, 31



Calculated powder diffraction line list of Ba2Y2MgFe4O10 for Cu Kα X-rays, from a GGA+U-relaxed structure.
Peak positions follow from Bragg's law for the DFT cell and can differ from measured ones.

Crystal structure
Lattice parameters (Å, degrees): 8.7770 3.5891 9.7451 90.00 100.86 90.00
Atoms (fractional coordinates):
Ba  0.0000  0.0000  0.0000
Ba  0.4725  0.0000  0.0310
Y  0.3890  0.0000  0.5877
Y  0.8888  0.0000  0.6242
Mg  0.2838  0.5000  0.2389
Fe  0.0647  0.5000  0.3829
Fe  0.2013  0.5000  0.7872
Fe  0.6382  0.5000  0.4093
Fe  0.6721  0.5000  0.8180
O  0.1272  0.0000  0.2618
O  0.1587  0.0000  0.6957
O  0.2242  0.5000  0.0094
O  0.2993  0.5000  0.4552
O  0.4401  0.5000  0.7503
O  0.5044  0.5000  0.2279
O  0.6284  0.0000  0.5246
O  0.7029  0.0000  0.9056
O  0.8861  0.5000  0.4710
O  0.9021  0.5000  0.7736

Top 8 peaks for 15° ≤ 2θ ≤ 90°, by angle:
Position (°2θ), I_rel
20.95, 29
30.41, 60
31.15, 100
31.60, 47
32.46, 55
32.69, 45
37.73, 46
41.17, 38



Calculated powder diffraction line list of BaMn2Fe2O7 for Cu Kα X-rays, from a GGA+U-relaxed structure.
Peak positions follow from Bragg's law for the DFT cell and can differ from measured ones.

Crystal structure
Lattice parameters (Å, degrees): 8.6639 8.6639 8.6639 151.85 151.69 40.35
Atoms (fractional coordinates):
Ba  0.0000  0.0000  0.0000
Mn  0.2497  0.7497  0.5000
Mn  0.7503  0.2503  0.5000
Fe  0.3834  0.3834  0.0000
Fe  0.6166  0.6166  0.0000
O  0.1298  0.6298  0.5000
O  0.2587  0.2587  0.0000
O  0.3696  0.8696  0.5000
O  0.5000  0.5000  0.0000
O  0.6304  0.1304  0.5000
O  0.7413  0.7413  0.0000
O  0.8702  0.3702  0.5000

Top 8 peaks for 15° ≤ 2θ ≤ 90°, by angle:
Position (°2θ), I_rel
26.75, 95
31.91, 100
34.80, 57
42.67, 41
42.93, 40
44.56, 36
62.13, 23
63.60, 22